Structure and computed XRD peak list of La3CrGa2O9 (DFT lattice parameters and positions (GGA+U); CuKα).

Main lines, low angle first (5 to 70 degrees two-theta):
2θ/deg  intensity
22.71  9
32.33  100
39.87  15
46.37  32
52.23  5
57.66  39
67.67  19

Crystal structure
```
La3CrGa2O9
1.0
5.538 0.000 0.000
-2.769 4.796 0.000
0.000 0.000 6.782
La Cr Ga O
3 1 2 9
Direct
0.000 0.000 0.000 La
0.333 0.667 0.666 La
0.667 0.333 0.334 La
0.000 0.000 0.500 Cr
0.333 0.667 0.166 Ga
0.667 0.333 0.834 Ga
0.000 0.500 0.000 O
0.167 0.335 0.333 O
0.167 0.833 0.333 O
0.335 0.167 0.667 O
0.500 0.000 0.000 O
0.500 0.500 0.000 O
0.665 0.833 0.333 O
0.833 0.167 0.667 O
0.833 0.665 0.667 O
```